Starting from a structure optimized by DFT (PBE), the XRD peak list of NaYMg6 was calculated for Cu Kα, 1.54184 Å.
Peak positions follow from Bragg's law for the DFT cell and can differ from measured ones.

Top 10 peaks for 15 to 90 degrees two-theta, in order of rising 2θ:
- 2θ = 15.34°, I 29, hkl 0 0 2
- 2θ = 22.85°, I 25, hkl 1 1 1
- 2θ = 30.97°, I 28, hkl 0 0 4
- 2θ = 31.76°, I 10, hkl 1 2 0
- 2θ = 34.03°, I 24, hkl 2 0 0
- 2θ = 35.45°, I 100, hkl 1 2 2
- 2θ = 46.67°, I 17, hkl 2 0 4
- 2θ = 55.05°, I 12, hkl 0 2 6
- 2θ = 61.83°, I 19, hkl 3 2 2
- 2θ = 66.32°, I 13, hkl 2 2 6

Atomic structure:
```
data_NaYMg6
_cell_length_a 5.269
_cell_length_b 6.658
_cell_length_c 11.566
_cell_angle_alpha 90.00
_cell_angle_beta 90.00
_cell_angle_gamma 90.00
_space_group_name_H-M_alt 'A m m 2'
_space_group_IT_number 38
loop_
_space_group_symop_operation_xyz
'x,y,z'
'-x,-y,z'
'-x,y,z'
'x,-y,z'
'x,y+1/2,z+1/2'
'-x,-y+1/2,z+1/2'
'-x,y+1/2,z+1/2'
'x,-y+1/2,z+1/2'
loop_
_atom_site_label
_atom_site_fract_x
_atom_site_fract_y
_atom_site_fract_z
Na1 0.000 0.000 0.000
Y1 0.500 0.000 0.175
Mg1 0.000 0.000 0.505
Mg2 0.000 0.249 0.755
Mg3 0.500 0.000 0.674
Mg4 0.500 0.249 0.919
```